Record 1
This entry pairs a crystal structure of Ca5P3O13 with its theoretical powder X-ray diffraction pattern. Radiation: λ = 1.5418 Å (Cu Kα). Structure: a DFT-relaxed cell (PBE, the Materials Project).
Intensities are scaled so that the largest is 100.

Crystal structure
Cell lengths 9.5341, 9.5341, 6.9246 Å; angles 90.00, 90.00, 120.00 degrees
Fractional coordinates of all 42 atoms:
1 Ca 0.0036 0.7538 0.2500
2 Ca 0.2462 0.2498 0.2500
3 Ca 0.2498 0.0036 0.7500
4 Ca 0.3333 0.6667 0.0014
5 Ca 0.3333 0.6667 0.4986
6 Ca 0.6667 0.3333 0.5014
7 Ca 0.6667 0.3333 0.9986
8 Ca 0.7502 0.9964 0.2500
9 Ca 0.7538 0.7502 0.7500
10 Ca 0.9964 0.2462 0.7500
11 P 0.0297 0.6310 0.7500
12 P 0.3690 0.3987 0.7500
13 P 0.3987 0.0297 0.2500
14 P 0.6013 0.9703 0.7500
15 P 0.6310 0.6013 0.2500
16 P 0.9703 0.3690 0.2500
17 O 0.0000 0.0000 0.2500
18 O 0.0000 0.0000 0.7500
19 O 0.0837 0.7430 0.5697
20 O 0.0837 0.7430 0.9303
21 O 0.1250 0.5372 0.7500
22 O 0.1551 0.4877 0.2500
23 O 0.2570 0.3407 0.5697
24 O 0.2570 0.3407 0.9303
25 O 0.3326 0.8449 0.2500
26 O 0.3407 0.0837 0.0697
27 O 0.3407 0.0837 0.4303
28 O 0.4122 0.8750 0.7500
29 O 0.4628 0.5878 0.7500
30 O 0.4877 0.3326 0.7500
31 O 0.5123 0.6674 0.2500
32 O 0.5372 0.4122 0.2500
33 O 0.5878 0.1250 0.2500
34 O 0.6593 0.9163 0.5697
35 O 0.6593 0.9163 0.9303
36 O 0.6674 0.1551 0.7500
37 O 0.7430 0.6593 0.0697
38 O 0.7430 0.6593 0.4303
39 O 0.8449 0.5123 0.7500
40 O 0.8750 0.4628 0.2500
41 O 0.9163 0.2570 0.0697
42 O 0.9163 0.2570 0.4303

Largest 6 diffraction maxima, in order of rising 2θ, 2θ from 10° to 90°:
hkl	d/Å	I (rel.)
0 0 2	3.462	35
1 2 1	2.845	100
1 1 2	2.801	42
3 0 0	2.752	60
2 2 2	1.963	31
1 2 3	1.856	36

=====

Record 2
This entry pairs a crystal structure of Ca2P2O7 with its theoretical powder X-ray diffraction pattern. Radiation: λ = 1.5418 Å (Cu Kα). Structure: a DFT-relaxed cell (PBE, the Materials Project).
Intensities are scaled so that the largest is 100.

Crystal structure
Cell lengths 5.4422, 8.5311, 13.8489 Å; angles 90.00, 111.09, 90.00 degrees
Fractional coordinates of all 44 atoms:
1 Ca 0.0018 0.1826 0.2572
2 Ca 0.0018 0.3174 0.7572
3 Ca 0.3366 0.1127 0.5900
4 Ca 0.3366 0.3873 0.0900
5 Ca 0.6634 0.6127 0.9100
6 Ca 0.6634 0.8873 0.4100
7 Ca 0.9982 0.6826 0.2428
8 Ca 0.9982 0.8174 0.7428
9 P 0.2347 0.7363 0.0271
10 P 0.2347 0.7637 0.5271
11 P 0.4621 0.5137 0.6817
12 P 0.4621 0.9863 0.1817
13 P 0.5379 0.0137 0.8183
14 P 0.5379 0.4863 0.3183
15 P 0.7653 0.2363 0.4729
16 P 0.7653 0.2637 0.9729
17 O 0.0517 0.7484 0.4145
18 O 0.0517 0.7516 0.9145
19 O 0.0865 0.6471 0.0873
20 O 0.0865 0.8529 0.5873
21 O 0.2806 0.1048 0.7666
22 O 0.2806 0.3952 0.2666
23 O 0.2868 0.5272 0.7477
24 O 0.2868 0.9728 0.2477
25 O 0.2965 0.5862 0.5690
26 O 0.2965 0.9138 0.0690
27 O 0.4721 0.6539 0.3382
28 O 0.4721 0.8461 0.8382
29 O 0.4950 0.6525 0.0431
30 O 0.4950 0.8475 0.5431
31 O 0.5050 0.1525 0.4569
32 O 0.5050 0.3475 0.9569
33 O 0.5279 0.1539 0.1618
34 O 0.5279 0.3461 0.6618
35 O 0.7035 0.0862 0.9310
36 O 0.7035 0.4138 0.4310
37 O 0.7132 0.0272 0.7523
38 O 0.7132 0.4728 0.2523
39 O 0.7194 0.6048 0.7334
40 O 0.7194 0.8952 0.2334
41 O 0.9135 0.1471 0.4127
42 O 0.9135 0.3529 0.9127
43 O 0.9483 0.2484 0.0855
44 O 0.9483 0.2516 0.5855

Largest 6 diffraction maxima, in order of rising 2θ, 2θ from 10° to 90°:
hkl	d/Å	I (rel.)
1 0 2	3.436	53
1 2 -1	3.356	95
1 0 -4	3.320	97
1 2 0	3.266	100
1 1 3	2.678	54
2 2 1	2.050	68

=====

Record 3
This entry pairs a crystal structure of Ca5P3O13 with its theoretical powder X-ray diffraction pattern. Radiation: λ = 1.5418 Å (Cu Kα). Structure: a DFT-relaxed cell (PBE, the Materials Project).
Intensities are scaled so that the largest is 100.

Crystal structure
Cell lengths 9.5367, 9.5367, 6.9159 Å; angles 90.00, 90.00, 120.00 degrees
Fractional coordinates of all 42 atoms:
1 Ca 0.0011 0.7518 0.0000
2 Ca 0.2482 0.2494 0.0000
3 Ca 0.2494 0.0011 0.5000
4 Ca 0.3333 0.6667 0.2503
5 Ca 0.3333 0.6667 0.7534
6 Ca 0.6667 0.3333 0.2534
7 Ca 0.6667 0.3333 0.7503
8 Ca 0.7506 0.9989 0.0000
9 Ca 0.7518 0.7506 0.5000
10 Ca 0.9989 0.2482 0.5000
11 P 0.0301 0.6309 0.5003
12 P 0.3691 0.3992 0.5003
13 P 0.3992 0.0301 0.0003
14 P 0.6008 0.9699 0.5003
15 P 0.6309 0.6008 0.0003
16 P 0.9699 0.3691 0.0003
17 O 0.0000 0.0000 0.4852
18 O 0.0000 0.0000 0.9852
19 O 0.0836 0.7439 0.6798
20 O 0.0866 0.7405 0.3181
21 O 0.1239 0.5360 0.5039
22 O 0.1552 0.4861 0.0000
23 O 0.2561 0.3397 0.6798
24 O 0.2595 0.3461 0.3181
25 O 0.3309 0.8448 0.0000
26 O 0.3397 0.0836 0.1798
27 O 0.3461 0.0866 0.8181
28 O 0.4121 0.8761 0.5039
29 O 0.4640 0.5879 0.5039
30 O 0.4861 0.3309 0.5000
31 O 0.5139 0.6691 0.0000
32 O 0.5360 0.4121 0.0039
33 O 0.5879 0.1239 0.0039
34 O 0.6539 0.9134 0.3181
35 O 0.6603 0.9164 0.6798
36 O 0.6691 0.1552 0.5000
37 O 0.7405 0.6539 0.8181
38 O 0.7439 0.6603 0.1798
39 O 0.8448 0.5139 0.5000
40 O 0.8761 0.4640 0.0039
41 O 0.9134 0.2595 0.8181
42 O 0.9164 0.2561 0.1798

Largest 6 diffraction maxima, in order of rising 2θ, 2θ from 10° to 90°:
hkl	d/Å	I (rel.)
0 0 2	3.458	35
1 2 1	2.845	100
1 1 2	2.799	43
3 0 0	2.753	60
2 2 2	1.963	31
1 2 3	1.854	35